Theoretical powder X-ray diffraction pattern
Compound: Mg14CoNi
Radiation: copper Kα
Structure: a GGA-PBE-relaxed structure
Intensities are scaled so that the largest is 100.

Top 12 peaks for 2θ from 10° to 90°, by angle:
Position (°2θ)	I/Imax
16.67	12.0
19.08	15.6
32.84	24.0
33.70	14.0
37.48	29.2
37.95	100.0
38.71	39.3
50.67	13.1
59.73	13.7
67.94	11.3
71.99	11.3
72.68	12.0

```
Mg14CoNi
1.0
9.598 0.000 0.000
0.000 3.177 5.319
0.000 -3.177 5.319
Mg Co Ni
14 1 1
Cartesian
0.000 0.000 0.000
0.000 -1.583 2.721
0.000 0.000 5.317
0.000 1.583 2.721
2.420 0.000 7.134
2.428 0.000 1.804
2.776 -1.594 4.602
2.776 1.594 4.602
4.799 -1.596 7.710
4.799 1.596 7.710
6.822 -1.594 4.602
6.822 1.594 4.602
7.170 0.000 1.804
7.178 0.000 7.134
4.799 0.000 0.177
4.799 0.000 5.502
```